1.
Structure and calculated powder diffraction line list of Er4AlSi3 (the GGA-PBE geometry in the Materials Project; Cu Kα (λ = 1.5418 Å)).
Peak positions follow from Bragg's law for the DFT cell and can differ from measured ones.

Structure:
a = 3.5752 Å, b = 3.5752 Å, c = 13.5295 Å
α = 90.00°, β = 90.00°, γ = 90.00°
Space group P4/mmm (No. 123)
Symmetry-distinct sites (fractional):
Er (0.0000, 0.0000, 0.1236) (multiplicity 2)
Er (0.0000, 0.0000, 0.3701) (multiplicity 2)
Al (0.5000, 0.5000, 0.5000) (multiplicity 1)
Si (0.5000, 0.5000, 0.0000) (multiplicity 1)
Si (0.5000, 0.5000, 0.2522) (multiplicity 2)

Principal peaks in the range 10 to 90 degrees two-theta, in order of falling intensity:
Position (°2θ)	d/Å	I (rel.)	index
36.57	2.457	100.0	1 0 4
24.90	3.575	67.0	1 0 0
35.51	2.528	54.6	1 1 0
64.46	1.446	38.3	2 1 4
26.35	3.382	29.0	0 0 4
44.76	2.025	28.8	1 1 4
51.09	1.788	19.4	2 0 0
66.52	1.406	17.1	1 1 8

=====

2.
Structure and calculated powder diffraction line list of Bi3Pd12Pb (the GGA-PBE geometry in the Materials Project; Cu Kα (λ = 1.5418 Å)).
Peak positions follow from Bragg's law for the DFT cell and can differ from measured ones.

Structure:
a = 5.8517 Å, b = 9.5426 Å, c = 5.0742 Å
α = 90.00°, β = 90.00°, γ = 90.00°
Space group Pmm2 (No. 25)
Symmetry-distinct sites (fractional):
Bi (0.0000, 0.0000, 0.0000) (multiplicity 1)
Bi (0.5000, 0.2496, 0.3406) (multiplicity 2)
Pd (0.0000, 0.2506, 0.3420) (multiplicity 2)
Pd (0.2470, 0.5000, 0.1723) (multiplicity 2)
Pd (0.2489, 0.2513, 0.8402) (multiplicity 4)
Pd (0.2498, 0.0000, 0.5108) (multiplicity 2)
Pd (0.5000, 0.0000, 0.9959) (multiplicity 1)
Pd (0.5000, 0.5000, 0.6870) (multiplicity 1)
Pb (0.0000, 0.5000, 0.6798) (multiplicity 1)

Principal peaks in the range 10 to 90 degrees two-theta, in order of falling intensity:
Position (°2θ)	d/Å	I (rel.)	index
40.28	2.239	100.0	2 2 1
36.67	2.450	44.0	0 1 2
37.71	2.386	35.6	0 4 0
76.32	1.248	27.1	4 4 0
45.76	1.983	23.0	0 3 2
63.56	1.464	22.9	4 0 0
69.81	1.347	20.3	2 6 1
77.98	1.225	14.4	0 2 4

=====

3.
Structure and calculated powder diffraction line list of CsMnSe2 (the GGA-PBE geometry in the Materials Project; Cu Kα (λ = 1.5418 Å)).
Peak positions follow from Bragg's law for the DFT cell and can differ from measured ones.

Structure:
a = 4.1587 Å, b = 4.1587 Å, c = 14.3919 Å
α = 90.00°, β = 90.00°, γ = 90.00°
Space group I-4m2 (No. 119)
Symmetry-distinct sites (fractional):
Cs (0.0000, 0.0000, 0.0000) (multiplicity 2)
Mn (0.0000, 0.5000, 0.7500) (multiplicity 2)
Se (0.0000, 0.0000, 0.3390) (multiplicity 4)

Principal peaks in the range 10 to 90 degrees two-theta, in order of falling intensity:
Position (°2θ)	d/Å	I (rel.)	index
28.40	3.142	100.0	1 0 3
52.79	1.734	34.4	2 1 3
49.01	1.859	28.9	1 1 6
30.40	2.941	26.2	1 1 0
43.52	2.079	21.1	2 0 0
83.91	1.153	12.1	3 1 6
22.25	3.995	11.2	1 0 1
32.90	2.722	10.6	1 1 2

=====

4.
Structure and calculated powder diffraction line list of PuSb (the GGA-PBE geometry in the Materials Project; Cu Kα (λ = 1.5418 Å)).
Peak positions follow from Bragg's law for the DFT cell and can differ from measured ones.

Structure:
a = 6.2687 Å, b = 6.2687 Å, c = 6.2687 Å
α = 90.00°, β = 90.00°, γ = 90.00°
Space group Fm-3m (No. 225)
Symmetry-distinct sites (fractional):
Pu (0.0000, 0.0000, 0.0000) (multiplicity 4)
Sb (0.0000, 0.0000, 0.5000) (multiplicity 4)

Principal peaks in the range 10 to 90 degrees two-theta, in order of falling intensity:
Position (°2θ)	d/Å	I (rel.)	index
28.48	3.134	100.0	2 0 0
40.71	2.216	77.6	2 2 0
66.73	1.402	36.7	4 2 0
50.43	1.810	28.1	2 2 2
74.09	1.280	27.2	4 2 2
24.60	3.619	18.5	1 1 1
58.93	1.567	13.3	4 0 0
48.14	1.890	10.3	3 1 1

=====

5.
Structure and calculated powder diffraction line list of Er2Re3Si5 (the GGA-PBE geometry in the Materials Project; Cu Kα (λ = 1.5418 Å)).
Peak positions follow from Bragg's law for the DFT cell and can differ from measured ones.

Structure:
a = 10.9864 Å, b = 10.9864 Å, c = 5.5262 Å
α = 90.00°, β = 90.00°, γ = 90.00°
Space group P4/mnc (No. 128)
Symmetry-distinct sites (fractional):
Er (0.0774, 0.2377, 0.0000) (multiplicity 8)
Re (0.0000, 0.5000, 0.2500) (multiplicity 4)
Re (0.1243, 0.8532, 0.5000) (multiplicity 8)
Si (0.0000, 0.0000, 0.2434) (multiplicity 4)
Si (0.0276, 0.3147, 0.5000) (multiplicity 8)
Si (0.1732, 0.6732, 0.2500) (multiplicity 8)

Principal peaks in the range 10 to 90 degrees two-theta, in order of falling intensity:
Position (°2θ)	d/Å	I (rel.)	index
25.64	3.474	100.0	3 1 0
30.39	2.941	89.6	3 1 1
37.47	2.400	87.9	4 1 1
36.58	2.457	56.5	4 2 0
40.05	2.252	55.0	2 2 2
34.45	2.603	43.0	1 1 2
44.38	2.041	40.2	4 3 1
48.16	1.889	37.9	3 3 2